1.
The following is a simulated X-ray diffraction stick pattern of AlPS4. It was derived from a cell relaxed with PBE, using Cu Ka.
Neutral-atom scattering factors, no anomalous dispersion.

Principal peaks in the range 2θ = 5–70°, by angle:
- 16.88 deg, intensity 31
- 19.60 deg, intensity 100
- 34.15 deg, intensity 12
- 39.55 deg, intensity 25
- 39.81 deg, intensity 13
- 44.51 deg, intensity 35
- 57.37 deg, intensity 16
- 61.04 deg, intensity 12

Atomic structure:
```
AlPS4
1.0
6.4447 0.0000 0.0000
0.0000 6.4447 0.0000
0.0000 0.0000 9.0579
Al P S
2 2 8
Cartesian
0.0000 0.0000 0.0000 Al
0.0000 0.0000 4.5290 Al
0.0000 3.2223 0.0000 P
3.2223 0.0000 4.5290 P
1.5300 1.7325 0.0000 S
1.5300 4.7122 0.0000 S
1.7325 1.5300 4.5290 S
1.7325 4.9147 4.5290 S
4.7122 1.5300 4.5290 S
4.7122 4.9147 4.5290 S
4.9147 1.7325 0.0000 S
4.9147 4.7122 0.0000 S
```

***

2.
The following is a simulated X-ray diffraction stick pattern of BaC2O5. It was derived from a cell relaxed with PBE, using Cu Ka.
Neutral-atom scattering factors, no anomalous dispersion.

Principal peaks in the range 2θ = 5–70°, by angle:
- 16.79 deg, intensity 100
- 20.15 deg, intensity 64
- 21.76 deg, intensity 52
- 28.59 deg, intensity 49
- 31.03 deg, intensity 49
- 32.38 deg, intensity 35
- 35.43 deg, intensity 45
- 40.16 deg, intensity 44

Atomic structure:
```
BaC2O5
1.0
5.2685 -4.0845 0.0000
5.2685 4.0845 0.0000
-3.8265 0.0000 5.8398
Ba C O
2 4 10
Cartesian
1.1100 0.0000 1.8737 Ba
5.6005 0.0000 3.9661 Ba
-1.4202 0.8526 4.4514 C
-1.4202 -0.8526 4.4514 C
8.1307 0.8526 1.3884 C
8.1307 -0.8526 1.3884 C
-0.4969 1.3661 3.7877 O
3.8122 2.7461 0.7496 O
2.8983 2.7461 5.0903 O
-0.4969 -1.3661 3.7877 O
3.8013 0.0000 1.8853 O
2.9092 0.0000 3.9545 O
7.2074 1.3661 2.0521 O
3.8122 -2.7461 0.7496 O
2.8983 -2.7461 5.0903 O
7.2074 -1.3661 2.0521 O
```